# 1
The following is a simulated X-ray diffraction stick pattern of Tb3SmN3. It was derived from a PBE-relaxed structure, using Cu Kα (λ = 1.5418 Å).

The 5 most intense peaks (2θ from 5° to 70°), low angle first:
2theta	I (rel.)
31.07	100.0
36.03	66.1
51.87	45.9
61.71	44.3
64.78	15.5

Cell and atoms:
```
data_Tb3SmN3
_chemical_formula_sum 'Tb3 Sm1 N3'
_cell_length_a 4.985
_cell_length_b 4.985
_cell_length_c 4.985
_cell_angle_alpha 90.00
_cell_angle_beta 90.00
_cell_angle_gamma 90.00
_space_group_name_H-M_alt 'P m -3 m'
_space_group_IT_number 221
_space_group_name_Hall '-P 4 2 3'
loop_
_atom_site_label
_atom_site_type_symbol
_atom_site_fract_x
_atom_site_fract_y
_atom_site_fract_z
_atom_site_occupancy
Tb1 Tb 0.000 0.000 0.500 1
Sm1 Sm 0.500 0.500 0.500 1
N1 N 0.000 0.500 0.500 1
```


# 2
The following is a simulated X-ray diffraction stick pattern of SmTc7N12. It was derived from a PBE-relaxed structure, using Cu Kα (λ = 1.5418 Å).

The 9 most intense peaks (2θ from 5° to 70°), low angle first:
2theta	I (rel.)
16.42	1.5
28.64	0.5
33.19	100.0
37.24	2.1
40.94	0.9
44.39	1.9
47.64	22.4
59.29	43.5
69.66	12.6

Cell and atoms:
```
data_SmTc7N12
_chemical_formula_sum 'Sm2 Tc14 N24'
_cell_length_a 7.636
_cell_length_b 7.636
_cell_length_c 7.636
_cell_angle_alpha 90.00
_cell_angle_beta 90.00
_cell_angle_gamma 90.00
_space_group_name_H-M_alt 'I m -3'
_space_group_IT_number 204
_space_group_name_Hall '-I 2 2 3'
loop_
_atom_site_label
_atom_site_type_symbol
_atom_site_fract_x
_atom_site_fract_y
_atom_site_fract_z
_atom_site_occupancy
Sm1 Sm 0.000 0.000 0.000 1
Tc1 Tc 0.000 0.000 0.500 1
Tc2 Tc 0.250 0.250 0.250 1
N1 N 0.000 0.307 0.182 1
```


# 3
The following is a simulated X-ray diffraction stick pattern of Sm2TcN3. It was derived from a PBE-relaxed structure, using Cu Kα (λ = 1.5418 Å).

The 12 most intense peaks (2θ from 5° to 70°), low angle first:
2theta	I (rel.)
27.84	11.3
31.14	92.2
33.42	89.8
34.85	100.0
42.29	27.7
45.17	16.7
46.85	24.1
53.21	16.3
55.92	36.3
58.77	35.9
62.95	26.1
64.94	12.8

Cell and atoms:
```
data_Sm2TcN3
_chemical_formula_sum 'Sm4 Tc2 N6'
_cell_length_a 3.443
_cell_length_b 3.878
_cell_length_c 12.820
_cell_angle_alpha 90.00
_cell_angle_beta 90.00
_cell_angle_gamma 90.00
_space_group_name_H-M_alt 'I m m m'
_space_group_IT_number 71
_space_group_name_Hall '-I 2 2'
loop_
_atom_site_label
_atom_site_type_symbol
_atom_site_fract_x
_atom_site_fract_y
_atom_site_fract_z
_atom_site_occupancy
Sm1 Sm 0.000 0.000 0.149 1
Tc1 Tc 0.000 0.000 0.500 1
N1 N 0.000 0.000 0.338 1
N2 N 0.000 0.500 0.500 1
```


# 4
The following is a simulated X-ray diffraction stick pattern of SmTc2N3. It was derived from a PBE-relaxed structure, using Cu Kα (λ = 1.5418 Å).

The 12 most intense peaks (2θ from 5° to 70°), low angle first:
2theta	I (rel.)
30.99	70.0
31.75	100.0
36.31	89.7
40.63	33.0
45.15	29.2
45.89	28.0
52.46	33.9
55.95	15.1
56.41	25.4
62.94	17.8
65.78	25.8
66.34	17.6

Cell and atoms:
```
data_SmTc2N3
_chemical_formula_sum 'Sm2 Tc4 N6'
_cell_length_a 3.955
_cell_length_b 12.048
_cell_length_c 3.287
_cell_angle_alpha 90.00
_cell_angle_beta 90.00
_cell_angle_gamma 90.00
_space_group_name_H-M_alt 'P m m n'
_space_group_IT_number 59
loop_
_space_group_symop_operation_xyz
'x,y,z'
'-x,-y,-z'
'-x+1/2,-y+1/2,z'
'x+1/2,y+1/2,-z'
'x+1/2,-y,-z'
'-x+1/2,y,z'
'-x,y+1/2,-z'
'x,-y+1/2,z'
loop_
_atom_site_label
_atom_site_type_symbol
_atom_site_fract_x
_atom_site_fract_y
_atom_site_fract_z
_atom_site_occupancy
Sm1 Sm 0.250 0.250 0.001 1
Tc1 Tc 0.250 0.582 0.499 1
N1 N 0.250 0.090 0.501 1
N2 N 0.250 0.750 0.498 1
```


# 5
The following is a simulated X-ray diffraction stick pattern of SmTm2TcN4. It was derived from a PBE-relaxed structure, using Cu Kα (λ = 1.5418 Å).

The 12 most intense peaks (2θ from 5° to 70°), low angle first:
2theta	I (rel.)
28.03	39.8
30.97	62.9
31.25	40.6
31.47	100.0
38.59	97.3
42.47	14.4
44.58	30.7
48.51	20.9
50.28	22.7
53.64	26.1
63.29	25.0
64.83	23.0

Cell and atoms:
```
data_SmTm2TcN4
_chemical_formula_sum 'Sm4 Tm8 Tc4 N16'
_cell_length_a 3.416
_cell_length_b 11.550
_cell_length_c 11.448
_cell_angle_alpha 90.00
_cell_angle_beta 90.00
_cell_angle_gamma 90.00
_space_group_name_H-M_alt 'C m c m'
_space_group_IT_number 63
_space_group_name_Hall '-C 2c 2'
loop_
_atom_site_label
_atom_site_type_symbol
_atom_site_fract_x
_atom_site_fract_y
_atom_site_fract_z
_atom_site_occupancy
Sm1 Sm 0.000 0.126 0.250 1
Tm1 Tm 0.000 0.369 0.040 1
Tc1 Tc 0.000 0.137 0.750 1
N1 N 0.000 0.000 0.000 1
N2 N 0.000 0.262 0.626 1
N3 N 0.000 0.446 0.250 1
```


# 6
The following is a simulated X-ray diffraction stick pattern of Sm3Te3N. It was derived from a PBE-relaxed structure, using Cu Kα (λ = 1.5418 Å).

The 12 most intense peaks (2θ from 5° to 70°), low angle first:
2theta	I (rel.)
24.65	29.3
25.28	48.5
26.60	21.4
28.81	26.8
29.10	69.4
29.34	62.6
31.38	100.0
32.40	21.5
34.91	36.0
35.59	87.4
38.30	20.5
42.66	46.9

Cell and atoms:
```
data_Sm3Te3N
_chemical_formula_sum 'Sm12 Te12 N4'
_cell_length_a 13.801
_cell_length_b 4.238
_cell_length_c 14.102
_cell_angle_alpha 90.00
_cell_angle_beta 90.00
_cell_angle_gamma 90.00
_space_group_name_H-M_alt 'P n m a'
_space_group_IT_number 62
_space_group_name_Hall '-P 2ac 2n'
loop_
_atom_site_label
_atom_site_type_symbol
_atom_site_fract_x
_atom_site_fract_y
_atom_site_fract_z
_atom_site_occupancy
Sm1 Sm 0.038 0.250 0.159 1
Sm2 Sm 0.055 0.250 0.636 1
Sm3 Sm 0.191 0.250 0.853 1
Te1 Te 0.106 0.250 0.395 1
Te2 Te 0.125 0.750 0.998 1
Te3 Te 0.221 0.750 0.680 1
N1 N 0.036 0.250 0.794 1
```


# 7
The following is a simulated X-ray diffraction stick pattern of SmThTeN2. It was derived from a PBE-relaxed structure, using Cu Kα (λ = 1.5418 Å).

The 12 most intense peaks (2θ from 5° to 70°), low angle first:
2theta	I (rel.)
13.07	8.8
22.77	5.6
29.51	100.0
31.01	39.1
39.92	11.7
41.10	1.8
44.42	18.2
51.38	23.7
54.23	37.1
61.23	12.8
64.63	5.9
66.15	10.2

Cell and atoms:
```
data_SmThTeN2
_chemical_formula_sum 'Sm2 Th2 Te2 N4'
_cell_length_a 4.079
_cell_length_b 4.079
_cell_length_c 13.552
_cell_angle_alpha 90.00
_cell_angle_beta 90.00
_cell_angle_gamma 90.00
_space_group_name_H-M_alt 'I 4 m m'
_space_group_IT_number 107
_space_group_name_Hall 'I 4 -2'
loop_
_atom_site_label
_atom_site_type_symbol
_atom_site_fract_x
_atom_site_fract_y
_atom_site_fract_z
_atom_site_occupancy
Sm1 Sm 0.000 0.000 0.000 1
Th1 Th 0.000 0.000 0.335 1
Te1 Te 0.000 0.000 0.668 1
N1 N 0.000 0.500 0.414 1
```


# 8
The following is a simulated X-ray diffraction stick pattern of SmTh2N3. It was derived from a PBE-relaxed structure, using Cu Kα (λ = 1.5418 Å).

The 11 most intense peaks (2θ from 5° to 70°), low angle first:
2theta	I (rel.)
15.45	2.8
19.07	0.7
25.29	1.4
29.08	0.6
30.07	100.0
34.86	67.7
35.49	0.6
48.30	0.5
50.12	48.3
59.57	46.8
62.50	16.6

Cell and atoms:
```
data_SmTh2N3
_chemical_formula_sum 'Sm16 Th32 N48'
_cell_length_a 7.280
_cell_length_b 10.285
_cell_length_c 21.861
_cell_angle_alpha 90.00
_cell_angle_beta 90.00
_cell_angle_gamma 90.00
_space_group_name_H-M_alt 'F d d d'
_space_group_IT_number 70
loop_
_space_group_symop_operation_xyz
'x,y,z'
'-x,-y,-z'
'-x+1/4,-y+1/4,z'
'x+1/4,y+1/4,-z'
'x,-y+1/4,-z+1/4'
'-x,y+1/4,z+1/4'
'-x+1/4,y,-z+1/4'
'x+1/4,-y,z+1/4'
'x,y+1/2,z+1/2'
'-x,-y+1/2,-z+1/2'
'-x+1/4,-y+3/4,z+1/2'
'x+1/4,y+3/4,-z+1/2'
'x,-y+3/4,-z+3/4'
'-x,y+3/4,z+3/4'
'-x+1/4,y+1/2,-z+3/4'
'x+1/4,-y+1/2,z+3/4'
'x+1/2,y,z+1/2'
'-x+1/2,-y,-z+1/2'
'-x+3/4,-y+1/4,z+1/2'
'x+3/4,y+1/4,-z+1/2'
'x+1/2,-y+1/4,-z+3/4'
'-x+1/2,y+1/4,z+3/4'
'-x+3/4,y,-z+3/4'
'x+3/4,-y,z+3/4'
'x+1/2,y+1/2,z'
'-x+1/2,-y+1/2,-z'
'-x+3/4,-y+3/4,z'
'x+3/4,y+3/4,-z'
'x+1/2,-y+3/4,-z+1/4'
'-x+1/2,y+3/4,z+1/4'
'-x+3/4,y+1/2,-z+1/4'
'x+3/4,-y+1/2,z+1/4'
loop_
_atom_site_label
_atom_site_type_symbol
_atom_site_fract_x
_atom_site_fract_y
_atom_site_fract_z
_atom_site_occupancy
Sm1 Sm 0.125 0.125 0.042 1
Th1 Th 0.125 0.125 0.374 1
Th2 Th 0.125 0.125 0.541 1
N1 N 0.118 0.375 0.875 1
N2 N 0.123 0.372 0.707 1
```